# 1
# Er5TlFe2
Theoretical XRD peak list, copper Kα. Input: a crystal structure in Alexandria, relaxed with PBE.
No peak broadening, texture or thermal motion is included.

Atomic structure:
```
16
Lattice="-3.6605 3.6605 7.2555 3.6605 -3.6605 7.2555 3.6605 3.6605 -7.2555" Properties=species:S:1:pos:R:3 pbc="T T T"
Er 0.0000 0.0000 0.0000
Er 4.9493 1.2888 -1.8943
Er 1.2888 2.3717 -1.8943
Er 4.9493 1.2888 1.8943
Er 1.2888 2.3717 1.8943
Er 0.0000 0.0000 7.2555
Er 2.3717 1.2888 5.3612
Er -1.2888 2.3717 5.3612
Er 2.3717 1.2888 9.1497
Er -1.2888 2.3717 9.1497
Tl 0.0000 0.0000 3.6277
Tl 0.0000 0.0000 10.8832
Fe 2.8758 0.7847 0.0000
Fe 2.8758 -0.7847 7.2555
Fe 0.7847 4.4452 0.0000
Fe 0.7847 2.8758 7.2555
```

Main lines, by angle (10° ≤ 2θ ≤ 90°):
| 2theta | I (rel.) |
| --- | --- |
| 27.94 | 36.2 |
| 30.08 | 42.8 |
| 33.04 | 72.8 |
| 34.66 | 30.5 |
| 34.82 | 100.0 |
| 38.90 | 58.6 |
| 41.58 | 23.6 |
| 59.30 | 34.1 |
| 65.36 | 24.8 |
| 70.54 | 18.6 |

---

# 2
# Er3TmFe8
Theoretical XRD peak list, copper Kα. Input: a crystal structure in Alexandria, relaxed with PBE.
No peak broadening, texture or thermal motion is included.

Atomic structure:
```
12
Lattice="2.5465 1.4702 8.2935 -2.5465 1.4702 8.2935 0.0000 -2.9405 8.2935" Properties=species:S:1:pos:R:3 pbc="T T T"
Er 0.0000 0.0000 0.0000
Er 0.0000 0.0000 3.1105
Er 0.0000 0.0000 12.4443
Tm 0.0000 0.0000 15.5511
Fe -1.2744 -0.7358 9.8455
Fe 0.0000 -1.4710 5.7077
Fe -1.2740 0.7355 5.7077
Fe 0.0000 0.0000 7.7746
Fe 1.2744 -0.7358 9.8455
Fe 1.2740 0.7355 5.7077
Fe 0.0000 1.4715 9.8455
Fe 0.0000 0.0000 20.2184
```

Main lines, by angle (10° ≤ 2θ ≤ 90°):
| 2theta | I (rel.) |
| --- | --- |
| 21.39 | 19.2 |
| 35.28 | 70.3 |
| 41.63 | 100.0 |
| 43.54 | 9.6 |
| 63.28 | 19.5 |
| 67.63 | 22.9 |
| 67.73 | 7.6 |
| 74.52 | 11.0 |
| 74.69 | 10.9 |
| 89.19 | 8.3 |

---

# 3
# Er2Tm5Fe2
Theoretical XRD peak list, copper Kα. Input: a crystal structure in Alexandria, relaxed with PBE.
No peak broadening, texture or thermal motion is included.

Atomic structure:
```
18
Lattice="9.7463 -3.4686 0.0000 9.7463 3.4686 0.0000 0.0000 0.0000 6.8820" Properties=species:S:1:pos:R:3 pbc="T T T"
Er 4.5488 0.0000 0.0000
Er 5.1975 0.0000 3.4410
Er 14.2951 0.0000 3.4410
Er 14.9438 0.0000 0.0000
Tm 0.0000 0.0000 0.0000
Tm 7.6518 2.2074 4.6740
Tm 7.6518 1.2613 1.2330
Tm 11.8408 2.2074 4.6740
Tm 11.8408 1.2613 1.2330
Tm 9.7463 0.0000 3.4410
Tm 7.6518 -1.2613 5.6490
Tm 7.6518 -2.2074 2.2080
Tm 11.8408 -1.2613 5.6490
Tm 11.8408 -2.2074 2.2080
Fe 9.7463 2.6983 2.7080
Fe 9.7463 0.7703 6.1490
Fe 9.7463 -0.7703 0.7330
Fe 9.7463 -2.6983 4.1740
```

Main lines, by angle (10° ≤ 2θ ≤ 90°):
| 2theta | I (rel.) |
| --- | --- |
| 29.32 | 71.1 |
| 31.66 | 100.0 |
| 31.84 | 96.6 |
| 34.30 | 48.6 |
| 36.83 | 88.4 |
| 37.18 | 49.9 |
| 41.45 | 26.4 |
| 60.04 | 30.0 |
| 60.27 | 35.1 |
| 61.73 | 33.3 |

---

# 4
# ErTmFe
Theoretical XRD peak list, copper Kα. Input: a crystal structure in Alexandria, relaxed with PBE.
No peak broadening, texture or thermal motion is included.

Atomic structure:
```
12
Lattice="3.3497 -5.8760 0.0000 3.3497 5.8760 0.0000 0.0000 0.0000 7.2520" Properties=species:S:1:pos:R:3 pbc="T T T"
Er 3.3497 3.5613 6.4280
Er 3.3497 2.3147 2.8020
Er 3.3497 -2.3147 4.4500
Er 3.3497 -3.5613 0.8240
Tm 1.6748 0.5324 5.4390
Tm 1.6748 -0.5324 1.8130
Tm 5.0245 0.5324 5.4390
Tm 5.0245 -0.5324 1.8130
Fe 3.3497 4.7858 3.9490
Fe 3.3497 1.0902 0.3230
Fe 3.3497 -1.0902 6.9290
Fe 3.3497 -4.7858 3.3030
```

Main lines, by angle (10° ≤ 2θ ≤ 90°):
| 2theta | I (rel.) |
| --- | --- |
| 28.99 | 100.0 |
| 29.14 | 31.1 |
| 30.72 | 92.5 |
| 32.89 | 76.1 |
| 33.17 | 73.4 |
| 36.52 | 55.6 |
| 40.35 | 39.5 |
| 42.63 | 39.7 |
| 55.83 | 38.0 |
| 56.43 | 36.3 |

---

# 5
# Er3Tm2Fe2
Theoretical XRD peak list, copper Kα. Input: a crystal structure in Alexandria, relaxed with PBE.
No peak broadening, texture or thermal motion is included.

Atomic structure:
```
7
Lattice="3.5386 0.0000 0.0000 1.7650 6.0819 0.0000 1.7655 0.3816 8.0175" Properties=species:S:1:pos:R:3 pbc="T T T"
Er 0.0000 0.0000 0.0000
Er 3.5369 2.5310 5.6978
Er 3.5322 3.9324 2.3197
Tm 1.7648 1.1506 2.9053
Tm 5.3042 5.3128 5.1122
Fe 1.7652 2.5259 0.4879
Fe 5.3039 3.9375 7.5296
```

Main lines, by angle (10° ≤ 2θ ≤ 90°):
| 2theta | I (rel.) |
| --- | --- |
| 26.04 | 22.8 |
| 31.00 | 37.7 |
| 31.39 | 74.7 |
| 32.00 | 59.1 |
| 33.53 | 39.9 |
| 33.93 | 100.0 |
| 36.25 | 35.7 |
| 51.81 | 26.0 |
| 58.85 | 24.7 |
| 65.47 | 22.9 |

---

# 6
# Er3UFe3
Theoretical XRD peak list, copper Kα. Input: a crystal structure in Alexandria, relaxed with PBE.
No peak broadening, texture or thermal motion is included.

Atomic structure:
```
14
Lattice="3.7285 -5.9904 0.0000 3.7285 5.9904 0.0000 -2.2940 0.0000 6.5844" Properties=species:S:1:pos:R:3 pbc="T T T"
Er 3.7285 3.4701 0.0000
Er 2.5815 2.8913 3.2922
Er 2.2966 0.0000 0.7319
Er 2.8664 0.0000 5.8525
Er 2.5815 -2.8913 3.2922
Er 3.7285 -3.4701 0.0000
U 0.4839 0.0000 3.2713
U 4.6791 0.0000 3.3131
Fe -1.7630 0.0000 5.1425
Fe 0.4964 1.3700 4.9662
Fe 0.4964 -1.3700 4.9662
Fe 4.6666 1.3700 1.6182
Fe 4.6666 -1.3700 1.6182
Fe 6.9260 0.0000 1.4419
```

Main lines, by angle (10° ≤ 2θ ≤ 90°):
| 2theta | I (rel.) |
| --- | --- |
| 14.79 | 17.5 |
| 27.08 | 31.2 |
| 29.43 | 80.2 |
| 29.83 | 46.3 |
| 30.99 | 42.2 |
| 34.02 | 100.0 |
| 36.95 | 22.2 |
| 40.71 | 55.1 |
| 46.07 | 17.3 |
| 55.67 | 21.4 |

---

# 7
# Y2ErFe9
Theoretical XRD peak list, copper Kα. Input: a crystal structure in Alexandria, relaxed with PBE.
No peak broadening, texture or thermal motion is included.

Atomic structure:
```
12
Lattice="2.5466 1.4703 8.0747 -2.5466 1.4703 8.0747 0.0000 -2.9405 8.0747" Properties=species:S:1:pos:R:3 pbc="T T T"
Y 0.0000 0.0000 3.4333
Y 0.0000 0.0000 20.7909
Er 0.0000 0.0000 0.0000
Fe -1.2712 -0.7339 10.0317
Fe 0.0000 0.0000 8.0626
Fe 0.0000 -1.4679 14.1925
Fe -1.2712 0.7339 14.1925
Fe 0.0000 0.0000 12.1121
Fe 1.2712 -0.7339 10.0317
Fe 0.0000 1.4679 10.0317
Fe 0.0000 0.0000 16.1616
Fe 1.2712 0.7339 14.1925
```

Main lines, by angle (10° ≤ 2θ ≤ 90°):
| 2theta | I (rel.) |
| --- | --- |
| 32.90 | 35.4 |
| 35.24 | 42.1 |
| 35.98 | 30.4 |
| 41.10 | 36.7 |
| 41.62 | 15.7 |
| 41.94 | 100.0 |
| 44.90 | 17.0 |
| 67.84 | 22.3 |
| 68.99 | 11.3 |
| 74.52 | 19.8 |

---

# 8
# Y2Er4Fe23
Theoretical XRD peak list, copper Kα. Input: a crystal structure in Alexandria, relaxed with PBE.
No peak broadening, texture or thermal motion is included.

Atomic structure:
```
29
Lattice="-4.2282 5.9945 4.2283 4.2282 -5.9945 4.2283 4.2282 5.9945 -4.2283" Properties=species:S:1:pos:R:3 pbc="T T T"
Y 1.7630 0.0000 0.0000
Y 6.6934 0.0000 0.0000
Er 4.2282 -3.4770 2.4654
Er 2.4582 5.9945 0.6952
Er 1.7699 0.0000 4.9235
Er 4.2282 3.4770 2.4654
Fe 2.0533 4.5328 -1.7522
Fe 4.2282 1.4690 0.4129
Fe 2.1748 -1.4616 2.4761
Fe 4.2282 3.8952 -0.4931
Fe 4.2282 0.0000 2.4680
Fe 2.1137 3.0045 0.3551
Fe 0.0000 0.0000 2.4794
Fe 2.1145 -2.9899 4.5834
Fe 0.0000 2.1092 1.2115
Fe 0.0000 4.5398 0.2913
Fe 2.0533 7.4561 -1.7522
Fe 2.1748 1.4616 2.4761
Fe -1.2619 3.8903 2.4664
Fe 1.2619 3.8903 2.4664
Fe 0.0000 2.0992 3.7352
Fe 0.0000 7.4492 0.2913
Fe 0.0000 5.9945 2.4581
Fe 2.1137 8.9844 0.3551
Fe 2.1145 2.9899 4.5834
Fe 0.0000 4.5255 4.6412
Fe -1.2619 8.0987 2.4664
Fe 0.0000 9.8798 1.2115
Fe 1.2619 8.0987 2.4664
```

Main lines, by angle (10° ≤ 2θ ≤ 90°):
| 2theta | I (rel.) |
| --- | --- |
| 25.78 | 20.1 |
| 29.86 | 15.5 |
| 32.61 | 20.7 |
| 36.79 | 29.1 |
| 39.10 | 79.9 |
| 42.74 | 100.0 |
| 45.51 | 10.6 |
| 63.67 | 10.7 |
| 66.31 | 12.7 |
| 67.81 | 10.8 |

---

# 9
# ErZn11Fe
Theoretical XRD peak list, copper Kα. Input: a crystal structure in Alexandria, relaxed with PBE.
No peak broadening, texture or thermal motion is included.

Atomic structure:
```
13
Lattice="2.5870 -6.2436 0.0000 2.5870 6.2436 0.0000 -2.5607 0.0000 6.2092" Properties=species:S:1:pos:R:3 pbc="T T T"
Er 0.0000 0.0000 0.0000
Zn 1.2935 3.1218 0.0000
Zn 0.1119 4.0966 3.9997
Zn -0.0071 1.3470 4.8499
Zn 2.5013 4.0966 2.2095
Zn -0.0071 -1.3470 4.8499
Zn 1.2935 -3.1218 0.0000
Zn 1.3066 0.0000 3.1046
Zn 2.6203 1.3470 1.3594
Zn 0.1119 -4.0966 3.9997
Zn 2.6203 -1.3470 1.3594
Zn 2.5013 -4.0966 2.2095
Fe -1.2804 0.0000 3.1046
```

Main lines, by angle (10° ≤ 2θ ≤ 90°):
| 2theta | I (rel.) |
| --- | --- |
| 28.46 | 23.7 |
| 34.68 | 22.0 |
| 35.15 | 59.6 |
| 40.39 | 36.6 |
| 40.50 | 46.1 |
| 40.77 | 56.8 |
| 40.88 | 27.9 |
| 41.01 | 100.0 |
| 45.54 | 34.1 |
| 74.41 | 25.9 |

---

# 10
# Er2ZnFe
Theoretical XRD peak list, copper Kα. Input: a crystal structure in Alexandria, relaxed with PBE.
No peak broadening, texture or thermal motion is included.

Atomic structure:
```
4
Lattice="4.8977 0.0000 0.0000 0.0000 4.8977 0.0000 0.0000 0.0000 3.4223" Properties=species:S:1:pos:R:3 pbc="T T T"
Er 0.0000 2.4489 0.0000
Er 2.4489 0.0000 0.0000
Zn 0.0000 0.0000 1.7112
Fe 2.4489 2.4489 1.7112
```

Main lines, by angle (10° ≤ 2θ ≤ 90°):
| 2theta | I (rel.) |
| --- | --- |
| 25.72 | 23.6 |
| 26.04 | 11.4 |
| 36.70 | 50.9 |
| 36.93 | 100.0 |
| 45.55 | 10.7 |
| 52.87 | 17.6 |
| 53.55 | 8.5 |
| 66.23 | 35.3 |
| 66.68 | 17.3 |
| 78.60 | 10.8 |

---

# 11
# ErZn2Fe9
Theoretical XRD peak list, copper Kα. Input: a crystal structure in Alexandria, relaxed with PBE.
No peak broadening, texture or thermal motion is included.

Atomic structure:
```
24
Lattice="8.1736 0.0000 0.0000 0.0000 8.1736 0.0000 0.0000 0.0000 4.8119" Properties=species:S:1:pos:R:3 pbc="T T T"
Er 0.0000 0.0000 0.0000
Er 4.0868 4.0868 0.0000
Zn 0.9688 3.1180 0.0000
Zn 3.1180 7.2049 0.0000
Zn 5.0556 0.9688 0.0000
Zn 7.2049 5.0556 0.0000
Fe 0.0000 4.0868 2.4060
Fe 0.5355 1.7293 2.4060
Fe 1.4577 5.5445 1.1660
Fe 1.4577 5.5445 3.6459
Fe 1.7293 7.6382 2.4060
Fe 2.3576 3.5514 2.4060
Fe 2.6291 1.4577 1.1660
Fe 2.6291 1.4577 3.6459
Fe 3.5514 5.8161 2.4060
Fe 4.0868 0.0000 2.4060
Fe 4.6223 2.3576 2.4060
Fe 5.5445 6.7159 1.1660
Fe 5.5445 6.7159 3.6459
Fe 5.8161 4.6223 2.4060
Fe 6.4444 0.5355 2.4060
Fe 6.7159 2.6291 1.1660
Fe 6.7159 2.6291 3.6459
Fe 7.6382 6.4444 2.4060
```

Main lines, by angle (10° ≤ 2θ ≤ 90°):
| 2theta | I (rel.) |
| --- | --- |
| 34.71 | 24.7 |
| 36.26 | 32.4 |
| 39.58 | 100.0 |
| 43.66 | 37.8 |
| 44.16 | 30.2 |
| 45.11 | 55.6 |
| 45.77 | 35.4 |
| 49.90 | 17.8 |
| 68.90 | 19.6 |
| 70.61 | 17.5 |

---

# 12
# Er4Ga
Theoretical XRD peak list, copper Kα. Input: a crystal structure in Alexandria, relaxed with PBE.
No peak broadening, texture or thermal motion is included.

Atomic structure:
```
10
Lattice="-3.1935 3.1935 7.0370 3.1935 -3.1935 7.0370 3.1935 3.1935 -7.0370" Properties=species:S:1:pos:R:3 pbc="T T T"
Er 1.5455 0.7125 -0.6404
Er 2.3093 0.0513 2.8781
Er 2.3093 3.2448 -2.8781
Er 1.6481 -0.7125 6.3966
Er 1.5455 3.9061 0.6404
Er 0.8842 -0.0513 9.9151
Er 0.8842 3.1422 4.1589
Er 1.6481 2.4810 7.6774
Ga 0.0000 1.5968 1.7593
Ga 3.1935 1.5968 5.2778
```

Main lines, by angle (10° ≤ 2θ ≤ 90°):
| 2theta | I (rel.) |
| --- | --- |
| 27.94 | 29.9 |
| 30.75 | 25.7 |
| 31.97 | 100.0 |
| 32.25 | 90.4 |
| 34.83 | 23.8 |
| 36.84 | 50.1 |
| 46.82 | 32.3 |
| 52.02 | 24.6 |
| 59.35 | 21.7 |
| 60.49 | 24.5 |